Simulated X-ray powder pattern
Compound: K3Lu
Radiation: λ = 1.5418 Å (Cu Kα)
Structure: a structure optimized by DFT (GGA-PBE)

Most intense lines, 2θ = 5–70°, by intensity:
2theta, d [Å], I_rel
25.34, 3.515, 100
29.34, 3.044, 51
14.55, 6.088, 50
20.63, 4.305, 46
49.67, 1.836, 45
41.98, 2.152, 37
32.90, 2.722, 30
36.14, 2.485, 23
67.01, 1.397, 17
44.66, 2.029, 17
68.99, 1.361, 16
56.57, 1.627, 14

Cell and atoms:
```
data_K3Lu
_chemical_formula_sum 'K3 Lu1'
_space_group_name_H-M_alt 'P m -3 m'
_space_group_IT_number 221
_space_group_name_Hall '-P 4 2 3'
_cell_length_a 6.088
_cell_length_b 6.088
_cell_length_c 6.088
_cell_angle_alpha 90.00
_cell_angle_beta 90.00
_cell_angle_gamma 90.00
loop_
_atom_site_label
_atom_site_fract_x
_atom_site_fract_y
_atom_site_fract_z
_atom_site_occupancy
K1 0.000 0.000 0.500 1
Lu1 0.500 0.500 0.500 1
```

=====

Simulated X-ray powder pattern
Compound: KLuO3
Radiation: λ = 1.5418 Å (Cu Kα)
Structure: a structure optimized by DFT (GGA-PBE)

Most intense lines, 2θ = 5–70°, by intensity:
2theta, d [Å], I_rel
28.86, 3.094, 100
20.30, 4.376, 67
51.13, 1.786, 41
41.26, 2.188, 33
46.40, 1.957, 32
59.78, 1.547, 21
67.72, 1.384, 18
63.82, 1.459, 15
35.54, 2.526, 7

Cell and atoms:
```
data_KLuO3
_chemical_formula_sum 'K1 Lu1 O3'
_space_group_name_H-M_alt 'P m -3 m'
_space_group_IT_number 221
_space_group_name_Hall '-P 4 2 3'
_cell_length_a 4.376
_cell_length_b 4.376
_cell_length_c 4.376
_cell_angle_alpha 90.00
_cell_angle_beta 90.00
_cell_angle_gamma 90.00
loop_
_atom_site_label
_atom_site_fract_x
_atom_site_fract_y
_atom_site_fract_z
_atom_site_occupancy
K1 0.000 0.000 0.000 1
Lu1 0.500 0.500 0.500 1
O1 0.000 0.500 0.500 1
```

=====

Simulated X-ray powder pattern
Compound: K3LuP2O8
Radiation: λ = 1.5418 Å (Cu Kα)
Structure: a structure optimized by DFT (GGA-PBE)

Most intense lines, 2θ = 5–70°, by intensity:
2theta, d [Å], I_rel
11.37, 7.781, 100
29.21, 3.058, 90
21.73, 4.090, 81
29.69, 3.009, 75
32.55, 2.751, 71
31.69, 2.824, 49
18.30, 4.848, 48
44.37, 2.041, 24
21.43, 4.147, 24
39.47, 2.283, 21
43.65, 2.074, 21
39.11, 2.303, 18

Cell and atoms:
```
data_K3LuP2O8
_chemical_formula_sum 'K6 Lu2 P4 O16'
_space_group_name_H-M_alt 'P 1 21/m 1'
_space_group_IT_number 11
_cell_length_a 7.785
_cell_length_b 5.648
_cell_length_c 9.455
_cell_angle_alpha 90.00
_cell_angle_beta 91.94
_cell_angle_gamma 90.00
loop_
_space_group_symop_operation_xyz
'x,y,z'
'-x,-y,-z'
'-x,y+1/2,-z'
'x,-y+1/2,z'
loop_
_atom_site_label
_atom_site_fract_x
_atom_site_fract_y
_atom_site_fract_z
_atom_site_occupancy
K1 0.000 0.250 0.207 1
K2 0.186 0.750 0.423 1
K3 0.277 0.250 0.923 1
Lu1 0.476 0.750 0.734 1
P1 0.275 0.750 0.098 1
P2 0.284 0.250 0.572 1
O1 0.078 0.750 0.101 1
O2 0.125 0.250 0.472 1
O3 0.285 0.025 0.670 1
O4 0.338 0.750 0.943 1
O5 0.347 0.524 0.176 1
O6 0.449 0.250 0.483 1
```

=====

Simulated X-ray powder pattern
Compound: K3LuP2O8
Radiation: λ = 1.5418 Å (Cu Kα)
Structure: a structure optimized by DFT (GGA-PBE)

Most intense lines, 2θ = 5–70°, by intensity:
2theta, d [Å], I_rel
11.78, 7.509, 100
30.31, 2.949, 59
32.80, 2.731, 53
31.65, 2.827, 46
21.98, 4.045, 45
18.33, 4.839, 40
29.94, 2.985, 33
30.16, 2.963, 31
44.79, 2.023, 20
22.14, 4.014, 20
40.39, 2.233, 19
21.72, 4.091, 19

Cell and atoms:
```
data_K3LuP2O8
_chemical_formula_sum 'K6 Lu2 P4 O16'
_space_group_name_H-M_alt 'P 1 21/m 1'
_space_group_IT_number 11
_cell_length_a 7.512
_cell_length_b 5.655
_cell_length_c 9.358
_cell_angle_alpha 90.00
_cell_angle_beta 91.39
_cell_angle_gamma 90.00
loop_
_space_group_symop_operation_xyz
'x,y,z'
'-x,-y,-z'
'-x,y+1/2,-z'
'x,-y+1/2,z'
loop_
_atom_site_label
_atom_site_fract_x
_atom_site_fract_y
_atom_site_fract_z
_atom_site_occupancy
K1 0.003 0.250 0.192 1
K2 0.139 0.750 0.414 1
K3 0.295 0.250 0.920 1
Lu1 0.491 0.750 0.714 1
P1 0.276 0.750 0.093 1
P2 0.319 0.250 0.571 1
O1 0.071 0.750 0.104 1
O2 0.209 0.250 0.428 1
O3 0.275 0.026 0.662 1
O4 0.333 0.750 0.934 1
O5 0.354 0.525 0.170 1
O6 0.484 0.750 0.472 1
```

=====

Simulated X-ray powder pattern
Compound: K3LuP2O8
Radiation: λ = 1.5418 Å (Cu Kα)
Structure: a structure optimized by DFT (GGA-PBE)

Most intense lines, 2θ = 5–70°, by intensity:
2theta, d [Å], I_rel
29.29, 3.049, 100
32.00, 2.797, 67
21.56, 4.122, 60
11.27, 7.849, 52
43.93, 2.061, 39
18.32, 4.844, 35
55.38, 1.659, 30
57.36, 1.606, 18
51.24, 1.783, 14
38.92, 2.314, 12
57.04, 1.615, 10
66.92, 1.398, 10

Cell and atoms:
```
data_K3LuP2O8
_chemical_formula_sum 'K9 Lu3 P6 O24'
_space_group_name_H-M_alt 'P -3'
_space_group_IT_number 147
_cell_length_a 9.6874
_cell_length_b 9.6874
_cell_length_c 7.8491
_cell_angle_alpha 90.00
_cell_angle_beta 90.00
_cell_angle_gamma 120.00
loop_
_space_group_symop_operation_xyz
'x,y,z'
'-x,-y,-z'
'-y,x-y,z'
'y,-x+y,-z'
'-x+y,-x,z'
'x-y,x,-z'
loop_
_atom_site_label
_atom_site_fract_x
_atom_site_fract_y
_atom_site_fract_z
_atom_site_occupancy
K1 0.0000 0.0000 0.0000 1
K2 0.0006 0.3341 0.2443 1
K3 0.3333 0.6667 0.0046 1
Lu1 0.0000 0.0000 0.5000 1
Lu2 0.3333 0.6667 0.5329 1
P1 0.0133 0.6725 0.2715 1
O1 0.0070 0.1854 0.6656 1
O2 0.0699 0.7004 0.0864 1
O3 0.1415 0.6628 0.3848 1
O4 0.1500 0.4853 0.7067 1
```

=====

Simulated X-ray powder pattern
Compound: KLuS2O10
Radiation: λ = 1.5418 Å (Cu Kα)
Structure: a structure optimized by DFT (GGA-PBE)

Most intense lines, 2θ = 5–70°, by intensity:
2theta, d [Å], I_rel
13.62, 6.504, 100
28.51, 3.131, 55
21.74, 4.087, 41
8.24, 10.736, 32
20.90, 4.251, 21
22.53, 3.947, 17
37.72, 2.385, 17
30.55, 2.926, 16
25.05, 3.554, 16
21.56, 4.122, 15
42.61, 2.122, 15
23.59, 3.772, 13

Cell and atoms:
```
data_KLuS2O10
_chemical_formula_sum 'K4 Lu4 S8 O40'
_space_group_name_H-M_alt 'P 1 21/c 1'
_space_group_IT_number 14
_cell_length_a 10.862
_cell_length_b 8.174
_cell_length_c 10.001
_cell_angle_alpha 90.00
_cell_angle_beta 98.74
_cell_angle_gamma 90.00
loop_
_space_group_symop_operation_xyz
'x,y,z'
'-x,-y,-z'
'-x,y+1/2,-z+1/2'
'x,-y+1/2,z+1/2'
loop_
_atom_site_label
_atom_site_fract_x
_atom_site_fract_y
_atom_site_fract_z
_atom_site_occupancy
K1 0.134 0.232 0.086 1
Lu1 0.318 0.735 0.033 1
S1 0.117 0.727 0.209 1
S2 0.469 0.148 0.689 1
O1 0.018 0.211 0.319 1
O2 0.158 0.727 0.360 1
O3 0.163 0.621 0.648 1
O4 0.183 0.589 0.149 1
O5 0.289 0.023 0.446 1
O6 0.300 0.007 0.969 1
O7 0.359 0.228 0.721 1
O8 0.436 0.619 0.688 1
O9 0.438 0.520 0.128 1
O10 0.469 0.744 0.909 1
```